The following is a calculated X-ray powder pattern of Nb6BiSe8. It was derived from a DFT-relaxed cell (GGA-PBE, the Materials Project), using CuKα.
Intensities are scaled so that the largest is 1000.

Cell lengths 10.165, 10.165, 3.468 Å; angles 90.00, 90.00, 120.00 degrees
Atoms (fractional coordinates):
Nb  0.108  0.488  0.249
Nb  0.380  0.892  0.249
Nb  0.488  0.380  0.751
Nb  0.512  0.620  0.249
Nb  0.620  0.108  0.751
Nb  0.892  0.512  0.751
Bi  0.000  0.000  0.000
Se  0.059  0.721  0.250
Se  0.279  0.337  0.250
Se  0.333  0.667  0.750
Se  0.337  0.059  0.750
Se  0.663  0.941  0.250
Se  0.667  0.333  0.250
Se  0.721  0.663  0.750
Se  0.941  0.279  0.750

Principal peaks in the range 2θ from 15° to 90°, in order of rising 2θ:
2θ/deg, I (rel.)
20.2, 280
27.6, 278
30.5, 413
32.9, 412
36.8, 648
37.5, 1000
44.2, 386
47.3, 295
52.4, 205
81.4, 273